No. 1
Theoretical powder diffractogram
Compound: Sr2Ac4Hg3N2
Radiation: Cu Kα, 1.54184 Å
Structure: a structure optimized by DFT (PBE)

Most intense lines, 5° ≤ 2θ ≤ 70°, in order of rising 2θ:
2θ/deg	I/Imax	hkl
6.68	26	0 0 2
13.38	11	0 0 4
17.40	16	1 0 1
25.17	28	1 1 2
27.79	17	1 1 4
29.22	10	1 0 7
31.71	100	1 1 6
34.55	49	2 0 0
40.91	10	0 0 12
49.66	18	2 2 0
54.59	20	2 0 12
60.13	34	3 1 6

Structure:
a = 5.1925 Å, b = 5.1925 Å, c = 26.4696 Å
α = 90.00°, β = 90.00°, γ = 90.00°
Space group I4/mmm (No. 139)
Inequivalent atoms, fractional coordinates:
Sr  0.0000  0.0000  0.1979
Ac  0.0000  0.5000  0.0837
Hg  0.0000  0.0000  0.3267
Hg  0.0000  0.0000  0.5000
N  0.0000  0.0000  0.1023

***

No. 2
Theoretical powder diffractogram
Compound: NaAcHg14
Radiation: Cu Kα, 1.54184 Å
Structure: a structure optimized by DFT (PBE)

Most intense lines, 5° ≤ 2θ ≤ 70°, in order of rising 2θ:
2θ/deg	I/Imax	hkl
27.33	34	3 1 1
28.17	90	0 4 0
31.33	62	5 1 -1
32.83	71	2 4 -2
32.91	77	1 1 3
33.41	100	4 0 -4
34.01	32	3 3 1
35.55	30	6 0 -2
37.29	66	4 4 -1
38.72	38	1 3 3
39.75	32	4 4 -3
58.25	30	0 8 0

Structure:
a = 15.1758 Å, b = 12.6709 Å, c = 11.0813 Å
α = 90.00°, β = 120.45°, γ = 90.00°
Space group C2/m (No. 12)
Inequivalent atoms, fractional coordinates:
Na  0.0000  0.0000  0.0000
Na  0.0000  0.5000  0.5000
Ac  0.1635  0.0000  0.6692
Hg  0.0406  0.1247  0.3359
Hg  0.0516  0.3783  0.8019
Hg  0.1154  0.2659  0.6172
Hg  0.1206  0.3646  0.1122
Hg  0.1812  0.1270  0.2199
Hg  0.1814  0.1366  0.9468
Hg  0.1942  0.3731  0.4427

***

Number 1 is which compound? Sr2Ac4Hg3N2